Starting from a cell relaxed with PBE, the powder diffractogram of Tb4InSnC was calculated for Cu Kα (weighted mean of Kα1 and Kα2).

Structural model:
a = 8.629 Å, b = 8.629 Å, c = 6.889 Å
α = 90.00°, β = 90.00°, γ = 132.92°
Element x y z (fractional)
Tb 0.000 0.500 0.000
Tb 0.000 0.500 0.500
Tb 0.089 0.911 0.750
Tb 0.411 0.589 0.750
Tb 0.500 0.000 0.000
Tb 0.500 0.000 0.500
Tb 0.589 0.411 0.250
Tb 0.911 0.089 0.250
In 0.113 0.887 0.250
In 0.887 0.113 0.750
Sn 0.387 0.613 0.250
Sn 0.613 0.387 0.750
C 0.249 0.751 0.750
C 0.751 0.249 0.250

Largest 10 diffraction maxima, sorted by position, 10 to 90 degrees two-theta:
d/Å, Rel. int.
3.159, 72
2.637, 27
2.598, 100
2.436, 61
1.789, 34
1.723, 21
1.512, 17
1.442, 17
1.437, 32
1.104, 18